# Li5MnCo2O8
Calculated XRD peak list, Cu Ka. Input: a cell relaxed with GGA+U.
Intensities are scaled so that the largest is 100.

Structure:
a = 10.259 Å, b = 5.805 Å, c = 5.051 Å
α = 90.00°, β = 110.29°, γ = 90.00°
Space group C2 (No. 5)
Symmetry-distinct sites (fractional):
Li 0.000 0.000 0.000 x2
Li 0.249 0.251 0.000 x4
Li 0.250 0.000 0.499 x4
Mn 0.000 0.751 0.500 x2
Co 0.000 0.243 0.500 x2
Co 0.000 0.501 0.000 x2
O 0.107 0.273 0.243 x4
O 0.107 0.732 0.250 x4
O 0.118 0.988 0.722 x4
O 0.120 0.510 0.740 x4

Largest 8 diffraction maxima, low angle first, 2θ from 5° to 70°:
| h k l | d/Å | I (rel.) |
| --- | --- | --- |
| 1 1 0 | 4.971 | 23 |
| 2 0 0 | 4.811 | 100 |
| 1 1 -1 | 3.785 | 15 |
| 0 2 1 | 2.475 | 24 |
| 4 0 -2 | 2.088 | 32 |
| 2 2 1 | 2.055 | 59 |
| 6 2 -1 | 1.473 | 16 |
| 2 2 -3 | 1.456 | 25 |



# Li4MnCo3O8
Calculated XRD peak list, Cu Ka. Input: a cell relaxed with GGA+U.
Intensities are scaled so that the largest is 100.

Structure:
a = 5.193 Å, b = 5.817 Å, c = 5.886 Å
α = 62.47°, β = 88.57°, γ = 71.59°
Space group P-1 (No. 2)
Symmetry-distinct sites (fractional):
Li 0.000 0.000 0.246 x2
Li 0.003 0.496 0.754 x2
Mn 0.500 0.000 0.500 x1
Co 0.500 0.000 0.000 x1
Co 0.500 0.500 0.000 x1
Co 0.500 0.500 0.500 x1
O 0.263 0.245 0.111 x2
O 0.272 0.240 0.626 x2
O 0.272 0.735 0.127 x2
O 0.275 0.744 0.622 x2

Largest 8 diffraction maxima, low angle first, 2θ from 5° to 70°:
| h k l | d/Å | I (rel.) |
| --- | --- | --- |
| 1 0 0 | 4.876 | 100 |
| 0 0 2 | 2.583 | 17 |
| 1 2 0 | 2.545 | 15 |
| 0 2 2 | 2.446 | 11 |
| 1 0 2 | 2.158 | 29 |
| 2 2 0 | 2.120 | 27 |
| -1 2 2 | 2.022 | 23 |
| 1 4 2 | 1.453 | 9 |



# Li7Mn4CoO12
Calculated XRD peak list, Cu Ka. Input: a cell relaxed with GGA+U.
Intensities are scaled so that the largest is 100.

Structure:
a = 2.973 Å, b = 5.114 Å, c = 14.613 Å
α = 88.53°, β = 88.03°, γ = 87.96°
Space group P1 (No. 1)
Symmetry-distinct sites (fractional):
Li 0.000 0.000 0.000 x1
Li 0.003 0.667 0.341 x1
Li 0.007 0.670 0.842 x1
Li 0.017 0.339 0.685 x1
Li 0.499 0.519 0.992 x1
Li 0.503 0.818 0.689 x1
Li 0.507 0.168 0.343 x1
Mn 0.004 0.336 0.174 x1
Mn 0.013 0.003 0.509 x1
Mn 0.508 0.170 0.843 x1
Mn 0.513 0.504 0.509 x1
Co 0.505 0.836 0.174 x1
O 0.027 0.023 0.771 x1
O 0.036 0.675 0.102 x1
O 0.048 0.682 0.585 x1
O 0.473 0.825 0.430 x1
O 0.482 0.179 0.100 x1
O 0.505 0.475 0.765 x1
O 0.515 0.864 0.921 x1
O 0.529 0.496 0.252 x1
O 0.542 0.179 0.583 x1
O 0.970 0.323 0.430 x1
O 0.980 0.998 0.249 x1
O 0.992 0.317 0.915 x1

Largest 8 diffraction maxima, low angle first, 2θ from 5° to 70°:
| h k l | d/Å | I (rel.) |
| --- | --- | --- |
| 0 0 1 | 14.600 | 32 |
| 0 0 3 | 4.866 | 100 |
| 1 1 1 | 2.585 | 15 |
| 0 2 -1 | 2.506 | 12 |
| -1 1 1 | 2.486 | 12 |
| 1 1 4 | 2.165 | 31 |
| 0 2 -4 | 2.069 | 27 |
| -1 1 4 | 2.063 | 27 |



# Li4MnCo2O7
Calculated XRD peak list, Cu Ka. Input: a cell relaxed with GGA+U.
Intensities are scaled so that the largest is 100.

Structure:
a = 5.197 Å, b = 2.882 Å, c = 34.237 Å
α = 90.00°, β = 94.28°, γ = 90.00°
Space group C2/m (No. 12)
Symmetry-distinct sites (fractional):
Li 0.000 0.000 0.000 x2
Li 0.000 0.000 0.500 x2
Li 0.073 0.500 0.358 x4
Li 0.139 0.000 0.212 x4
Li 0.204 0.500 0.070 x4
Mn 0.143 0.000 0.714 x4
Co 0.075 0.500 0.857 x4
Co 0.214 0.500 0.571 x4
O 0.023 0.500 0.747 x4
O 0.073 0.000 0.604 x4
O 0.078 0.000 0.112 x4
O 0.142 0.500 0.964 x4
O 0.145 0.500 0.461 x4
O 0.215 0.000 0.823 x4
O 0.237 0.000 0.319 x4

Largest 8 diffraction maxima, low angle first, 2θ from 5° to 70°:
| h k l | d/Å | I (rel.) |
| --- | --- | --- |
| 0 0 2 | 17.071 | 26 |
| 0 0 3 | 11.380 | 22 |
| 0 0 7 | 4.877 | 100 |
| 2 0 1 | 2.569 | 18 |
| 1 1 -3 | 2.478 | 26 |
| 2 0 8 | 2.145 | 33 |
| 1 1 -10 | 2.063 | 57 |
| 1 1 18 | 1.489 | 17 |



# Li7Mn2Co3O12
Calculated XRD peak list, Cu Ka. Input: a cell relaxed with GGA+U.
Intensities are scaled so that the largest is 100.

Structure:
a = 5.060 Å, b = 8.684 Å, c = 9.800 Å
α = 90.00°, β = 99.65°, γ = 90.00°
Space group C2 (No. 5)
Symmetry-distinct sites (fractional):
Li 0.000 0.000 0.000 x2
Li 0.244 0.167 0.247 x4
Li 0.247 0.998 0.753 x4
Li 0.249 0.338 0.753 x4
Mn 0.000 0.167 0.500 x2
Mn 0.000 0.668 0.000 x2
Co 0.000 0.332 0.000 x2
Co 0.000 0.505 0.500 x2
Co 0.000 0.832 0.500 x2
O 0.102 0.499 0.890 x4
O 0.113 0.328 0.386 x4
O 0.124 0.011 0.382 x4
O 0.140 0.183 0.891 x4
O 0.143 0.821 0.888 x4
O 0.148 0.660 0.384 x4

Largest 8 diffraction maxima, low angle first, 2θ from 5° to 70°:
| h k l | d/Å | I (rel.) |
| --- | --- | --- |
| 0 0 1 | 9.661 | 14 |
| 0 0 2 | 4.831 | 100 |
| 2 0 0 | 2.494 | 13 |
| 1 3 -1 | 2.475 | 26 |
| 2 0 2 | 2.079 | 29 |
| 1 3 -3 | 2.062 | 56 |
| 1 3 5 | 1.471 | 23 |
| 3 3 -1 | 1.457 | 15 |



# Li3MnCoO5
Calculated XRD peak list, Cu Ka. Input: a cell relaxed with GGA+U.
Intensities are scaled so that the largest is 100.

Structure:
a = 2.9599 Å, b = 2.9599 Å, c = 72.2430 Å
α = 90.00°, β = 90.00°, γ = 120.00°
Space group R3m (No. 160, hexagonal axes)
Symmetry-distinct sites (fractional):
Li 0.0000 0.0000 0.0000 x3
Li 0.0000 0.0000 0.0986 x3
Li 0.0000 0.0000 0.3028 x3
Li 0.0000 0.0000 0.5013 x3
Li 0.0000 0.0000 0.6987 x3
Li 0.0000 0.0000 0.8987 x3
Mn 0.0000 0.0000 0.6002 x3
Mn 0.0000 0.0000 0.7999 x3
Co 0.0000 0.0000 0.2001 x3
Co 0.0000 0.0000 0.3998 x3
O 0.0000 0.0000 0.0518 x3
O 0.0000 0.0000 0.1486 x3
O 0.0000 0.0000 0.2515 x3
O 0.0000 0.0000 0.3497 x3
O 0.0000 0.0000 0.4514 x3
O 0.0000 0.0000 0.5486 x3
O 0.0000 0.0000 0.6500 x3
O 0.0000 0.0000 0.7490 x3
O 0.0000 0.0000 0.8516 x3
O 0.0000 0.0000 0.9482 x3

Largest 8 diffraction maxima, low angle first, 2θ from 5° to 70°:
| h k l | d/Å | I (rel.) |
| --- | --- | --- |
| 0 0 6 | 12.041 | 39 |
| 0 0 9 | 8.027 | 17 |
| 0 0 15 | 4.816 | 100 |
| 0 1 5 | 2.524 | 43 |
| 0 1 20 | 2.090 | 98 |
| 0 1 35 | 1.607 | 17 |
| 1 1 0 | 1.480 | 27 |
| 1 0 40 | 1.476 | 27 |



# Li4MnCo2O7
Calculated XRD peak list, Cu Ka. Input: a cell relaxed with GGA+U.
Intensities are scaled so that the largest is 100.

Structure:
a = 5.131 Å, b = 5.878 Å, c = 8.603 Å
α = 91.65°, β = 94.57°, γ = 108.80°
Space group P1 (No. 1)
Symmetry-distinct sites (fractional):
Li 0.000 0.000 0.000 x1
Li 0.002 0.503 0.998 x1
Li 0.146 0.790 0.281 x1
Li 0.281 0.068 0.577 x1
Li 0.425 0.352 0.862 x1
Li 0.574 0.656 0.135 x1
Li 0.715 0.926 0.431 x1
Li 0.857 0.212 0.722 x1
Mn 0.141 0.282 0.282 x1
Mn 0.715 0.431 0.431 x1
Co 0.286 0.573 0.575 x1
Co 0.429 0.858 0.858 x1
Co 0.570 0.140 0.140 x1
Co 0.858 0.718 0.719 x1
O 0.027 0.263 0.497 x1
O 0.150 0.001 0.791 x1
O 0.168 0.549 0.783 x1
O 0.301 0.311 0.090 x1
O 0.312 0.837 0.062 x1
O 0.400 0.597 0.364 x1
O 0.421 0.130 0.347 x1
O 0.545 0.881 0.650 x1
O 0.593 0.412 0.640 x1
O 0.684 0.158 0.934 x1
O 0.699 0.700 0.912 x1
O 0.852 0.992 0.217 x1
O 0.864 0.442 0.222 x1
O 0.981 0.737 0.509 x1

Largest 8 diffraction maxima, low angle first, 2θ from 5° to 70°:
| h k l | d/Å | I (rel.) |
| --- | --- | --- |
| 0 1 -1 | 4.788 | 100 |
| 2 -1 0 | 2.540 | 16 |
| 1 1 2 | 2.442 | 24 |
| 2 -2 1 | 2.125 | 30 |
| 1 0 -4 | 2.029 | 26 |
| 1 2 1 | 2.025 | 26 |
| 1 -1 4 | 1.897 | 9 |
| -3 2 3 | 1.467 | 15 |



# Li4MnCo2O7
Calculated XRD peak list, Cu Ka. Input: a cell relaxed with GGA+U.
Intensities are scaled so that the largest is 100.

Structure:
a = 15.288 Å, b = 2.892 Å, c = 13.146 Å
α = 90.00°, β = 119.06°, γ = 90.00°
Space group Cm (No. 8)
Symmetry-distinct sites (fractional):
Li 0.000 0.000 0.000 x2
Li 0.001 0.500 0.511 x2
Li 0.077 0.000 0.358 x2
Li 0.141 0.500 0.206 x2
Li 0.211 0.000 0.066 x2
Li 0.293 0.500 0.931 x2
Li 0.360 0.000 0.800 x2
Li 0.436 0.500 0.652 x2
Mn 0.360 0.500 0.288 x2
Mn 0.431 0.000 0.134 x2
Co 0.072 0.500 0.876 x2
Co 0.144 0.000 0.721 x2
Co 0.216 0.500 0.576 x2
Co 0.287 0.000 0.434 x2
O 0.027 0.000 0.177 x2
O 0.046 0.500 0.685 x2
O 0.110 0.500 0.029 x2
O 0.121 0.000 0.547 x2
O 0.166 0.000 0.887 x2
O 0.187 0.500 0.397 x2
O 0.245 0.500 0.753 x2
O 0.262 0.000 0.258 x2
O 0.309 0.000 0.601 x2
O 0.335 0.500 0.111 x2
O 0.388 0.500 0.466 x2
O 0.398 0.000 0.981 x2
O 0.455 0.000 0.310 x2
O 0.475 0.500 0.826 x2

Largest 8 diffraction maxima, low angle first, 2θ from 5° to 70°:
| h k l | d/Å | I (rel.) |
| --- | --- | --- |
| 0 0 1 | 11.490 | 11 |
| 2 0 1 | 4.843 | 100 |
| 4 0 -5 | 2.562 | 15 |
| 3 1 -2 | 2.482 | 24 |
| 2 0 -6 | 2.136 | 29 |
| 5 1 -1 | 2.060 | 54 |
| 1 1 4 | 1.918 | 10 |
| 3 1 5 | 1.483 | 29 |



# Li7Mn4CoO12
Calculated XRD peak list, Cu Ka. Input: a cell relaxed with GGA+U.
Intensities are scaled so that the largest is 100.

Structure:
a = 5.944 Å, b = 6.516 Å, c = 6.532 Å
α = 96.44°, β = 115.65°, γ = 102.64°
Space group P1 (No. 1)
Symmetry-distinct sites (fractional):
Li 0.000 0.000 0.000 x1
Li 0.003 0.346 0.328 x1
Li 0.010 0.670 0.663 x1
Li 0.509 0.678 0.661 x1
Li 0.513 0.009 0.990 x1
Li 0.520 0.359 0.327 x1
Li 0.759 0.675 0.160 x1
Mn 0.252 0.008 0.490 x1
Mn 0.253 0.677 0.157 x1
Mn 0.272 0.345 0.836 x1
Mn 0.757 0.007 0.491 x1
Co 0.762 0.352 0.837 x1
O 0.147 0.695 0.402 x1
O 0.157 0.025 0.740 x1
O 0.160 0.362 0.077 x1
O 0.356 0.994 0.245 x1
O 0.366 0.327 0.584 x1
O 0.368 0.657 0.917 x1
O 0.608 0.339 0.059 x1
O 0.610 0.694 0.397 x1
O 0.611 0.014 0.714 x1
O 0.904 0.013 0.273 x1
O 0.905 0.327 0.597 x1
O 0.914 0.675 0.927 x1

Largest 8 diffraction maxima, low angle first, 2θ from 5° to 70°:
| h k l | d/Å | I (rel.) |
| --- | --- | --- |
| 0 1 -1 | 4.799 | 100 |
| 2 0 0 | 2.557 | 15 |
| 0 2 1 | 2.488 | 25 |
| 2 -1 1 | 2.117 | 31 |
| 2 0 -3 | 2.066 | 29 |
| 0 3 0 | 2.060 | 29 |
| 2 -3 0 | 1.907 | 8 |
| 2 -4 1 | 1.471 | 16 |



# Li7Mn4CoO12
Calculated XRD peak list, Cu Ka. Input: a cell relaxed with GGA+U.
Intensities are scaled so that the largest is 100.

Structure:
a = 5.079 Å, b = 5.941 Å, c = 7.770 Å
α = 102.56°, β = 96.22°, γ = 106.12°
Space group P1 (No. 1)
Symmetry-distinct sites (fractional):
Li 0.000 0.000 0.000 x1
Li 0.001 0.661 0.682 x1
Li 0.010 0.488 0.008 x1
Li 0.015 0.827 0.340 x1
Li 0.018 0.157 0.687 x1
Li 0.508 0.077 0.845 x1
Li 0.999 0.323 0.338 x1
Mn 0.503 0.572 0.844 x1
Mn 0.505 0.238 0.513 x1
Mn 0.507 0.745 0.513 x1
Mn 0.513 0.918 0.172 x1
Co 0.506 0.403 0.167 x1
O 0.272 0.433 0.604 x1
O 0.274 0.309 0.922 x1
O 0.282 0.110 0.269 x1
O 0.284 0.779 0.937 x1
O 0.284 0.960 0.582 x1
O 0.293 0.644 0.264 x1
O 0.722 0.518 0.434 x1
O 0.727 0.839 0.752 x1
O 0.728 0.372 0.750 x1
O 0.738 0.714 0.080 x1
O 0.739 0.049 0.417 x1
O 0.742 0.184 0.101 x1

Largest 8 diffraction maxima, low angle first, 2θ from 5° to 70°:
| h k l | d/Å | I (rel.) |
| --- | --- | --- |
| 1 0 0 | 4.800 | 100 |
| 0 2 -2 | 2.556 | 15 |
| -1 2 1 | 2.489 | 25 |
| 1 2 -2 | 2.116 | 31 |
| -2 2 1 | 2.063 | 58 |
| 2 0 3 | 1.591 | 10 |
| 1 -4 1 | 1.484 | 16 |
| 2 2 1 | 1.471 | 16 |